# V6GaFe3
Simulated XRD peak list, λ = 1.5418 Å (Cu Kα). Input: a structure optimized by DFT (GGA-PBE).
Peak positions follow from Bragg's law for the DFT cell and can differ from measured ones.

Main lines, in order of rising 2θ (2θ from 10° to 90°):
Position (°2θ)	d_spacing	intensity	h k l
35.02	2.562	22	4 0 0
36.98	2.431	20	1 1 2
37.84	2.377	15	3 3 0
41.82	2.160	26	3 3 1
43.22	2.093	100	2 2 2
43.42	2.084	32	4 2 1
44.15	2.051	17	2 4 1
44.90	2.019	20	3 1 2
46.58	1.950	28	1 5 0
51.00	1.791	16	0 4 2
52.27	1.750	14	3 3 2
73.21	1.293	11	0 0 4

```
data_V6GaFe3
_chemical_formula_sum 'V24 Ga4 Fe12'
_cell_length_a 10.2496
_cell_length_b 9.9311
_cell_length_c 5.1712
_cell_angle_alpha 90.00
_cell_angle_beta 90.00
_cell_angle_gamma 90.00
_symmetry_space_group_name_H-M 'C m c 21'
_symmetry_Int_Tables_number 36
loop_
_symmetry_equiv_pos_as_xyz
'x,y,z'
'-x,-y,z+1/2'
'-x,y,z'
'x,-y,z+1/2'
'x+1/2,y+1/2,z'
'-x+1/2,-y+1/2,z+1/2'
'-x+1/2,y+1/2,z'
'x+1/2,-y+1/2,z+1/2'
loop_
_atom_site_label
_atom_site_type_symbol
_atom_site_fract_x
_atom_site_fract_y
_atom_site_fract_z
V1 V 0.0000 0.0046 0.0000
V2 V 0.0000 0.2230 0.2494
V3 V 0.1362 0.4086 0.4980
V4 V 0.2317 0.3080 0.9903
Ga1 Ga 0.0000 0.2213 0.7373
Fe1 Fe 0.0000 0.4137 0.0098
Fe2 Fe 0.1913 0.9998 0.2471
```